Diffraction record for MgCd2Se3. The powder X-ray diffraction pattern is theoretical, not measured: it uses a crystal structure in OQMD, relaxed with GGA-PBE and Cu Kα (λ = 1.5418 Å).
Kinematic intensities with the Lorentz-polarization factor, no thermal factor.

Largest 12 diffraction maxima, low angle first, 15° ≤ 2θ ≤ 90°:
2θ 25.27, d = 3.524 Å, intensity 13.7, (1 1 1); 2θ 27.48, d = 3.246 Å, intensity 29.5, (0 2 3); 2θ 28.88, d = 3.091 Å, intensity 13.9, (1 1 2); 2θ 31.72, d = 2.821 Å, intensity 12.6, (1 3 1); 2θ 32.10, d = 2.789 Å, intensity 16.7, (0 0 4); 2θ 34.72, d = 2.584 Å, intensity 100.0, (1 3 2); 2θ 34.88, d = 2.572 Å, intensity 14.8, (0 2 4); 2θ 40.66, d = 2.219 Å, intensity 10.9, (0 6 0); 2θ 44.39, d = 2.041 Å, intensity 26.4, (1 5 2); 2θ 46.99, d = 1.934 Å, intensity 17.2, (2 0 0); 2θ 55.25, d = 1.663 Å, intensity 27.7, (0 8 0); 2θ 75.63, d = 1.257 Å, intensity 9.6, (1 7 6)

Structural model:
Lattice parameters (Å, degrees): 3.868 13.312 11.154 90.00 90.00 90.00
Space group Cmcm (No. 63)
Asymmetric unit:
Mg 0.000 0.222 0.250 [4 per cell]
Cd 0.000 0.000 0.000 [4 per cell]
Cd 0.000 0.494 0.750 [4 per cell]
Se 0.000 0.130 0.750 [4 per cell]
Se 0.000 0.359 0.576 [8 per cell]

=====

Diffraction record for Y2HoCo2B2N3. The powder X-ray diffraction pattern is theoretical, not measured: it uses a crystal structure in OQMD, relaxed with GGA-PBE and Cu Kα (λ = 1.5418 Å).
Kinematic intensities with the Lorentz-polarization factor, no thermal factor.

Largest 12 diffraction maxima, low angle first, 15° ≤ 2θ ≤ 90°:
2θ 29.04, d = 3.075 Å, intensity 100.0, (1 0 3); 2θ 34.30, d = 2.614 Å, intensity 82.7, (1 0 5); 2θ 36.17, d = 2.483 Å, intensity 57.7, (0 0 8); 2θ 36.61, d = 2.455 Å, intensity 35.0, (1 1 0); 2θ 37.75, d = 2.383 Å, intensity 72.9, (1 1 2); 2θ 46.03, d = 1.972 Å, intensity 41.2, (1 1 6); 2θ 52.74, d = 1.736 Å, intensity 41.9, (2 0 0); 2θ 59.90, d = 1.544 Å, intensity 23.2, (1 1 10); 2θ 61.33, d = 1.512 Å, intensity 26.2, (2 1 3); 2θ 64.43, d = 1.446 Å, intensity 27.4, (2 1 5); 2θ 65.62, d = 1.423 Å, intensity 37.4, (2 0 8); 2θ 77.79, d = 1.228 Å, intensity 19.4, (2 2 0)

Structural model:
Lattice parameters (Å, degrees): 3.472 3.472 19.865 90.00 90.00 90.00
Space group I4/mmm (No. 139)
Asymmetric unit:
Y 0.000 0.000 0.124 [4 per cell]
Ho 0.000 0.000 0.500 [2 per cell]
Co 0.000 0.500 0.250 [4 per cell]
B 0.000 0.000 0.306 [4 per cell]
N 0.000 0.000 0.000 [2 per cell]
N 0.000 0.000 0.382 [4 per cell]

=====

Diffraction record for KHo2Cu3Se5. The powder X-ray diffraction pattern is theoretical, not measured: it uses a crystal structure in OQMD, relaxed with GGA-PBE and Cu Kα (λ = 1.5418 Å).
Kinematic intensities with the Lorentz-polarization factor, no thermal factor.

Largest 12 diffraction maxima, low angle first, 15° ≤ 2θ ≤ 90°:
2θ 28.63, d = 3.118 Å, intensity 100.0, (1 3 0); 2θ 29.14, d = 3.065 Å, intensity 99.5, (1 3 1); 2θ 30.56, d = 2.925 Å, intensity 82.3, (1 3 2); 2θ 31.78, d = 2.816 Å, intensity 78.0, (0 0 6); 2θ 34.19, d = 2.622 Å, intensity 48.2, (0 2 6); 2θ 35.80, d = 2.508 Å, intensity 92.3, (1 3 4); 2θ 38.18, d = 2.357 Å, intensity 67.7, (1 5 0); 2θ 39.36, d = 2.289 Å, intensity 58.1, (0 2 7); 2θ 39.70, d = 2.270 Å, intensity 46.5, (1 5 2); 2θ 43.31, d = 2.089 Å, intensity 49.3, (1 3 6); 2θ 44.19, d = 2.050 Å, intensity 76.7, (2 0 0); 2θ 47.65, d = 1.908 Å, intensity 66.3, (1 3 7)

Structural model:
Lattice parameters (Å, degrees): 4.100 14.406 16.893 90.00 90.00 90.00
Space group Cmcm (No. 63)
Asymmetric unit:
K 0.000 0.062 0.250 [4 per cell]
Ho 0.000 0.192 0.593 [8 per cell]
Cu 0.000 0.341 0.250 [4 per cell]
Cu 0.000 0.416 0.531 [8 per cell]
Se 0.000 0.166 0.072 [8 per cell]
Se 0.000 0.251 0.750 [4 per cell]
Se 0.000 0.441 0.119 [8 per cell]

=====

Diffraction record for BaAl5CuPd. The powder X-ray diffraction pattern is theoretical, not measured: it uses a crystal structure in OQMD, relaxed with GGA-PBE and Cu Kα (λ = 1.5418 Å).
Kinematic intensities with the Lorentz-polarization factor, no thermal factor.

Largest 12 diffraction maxima, low angle first, 15° ≤ 2θ ≤ 90°:
2θ 23.01, d = 3.865 Å, intensity 21.6, (1 0 1); 2θ 24.22, d = 3.675 Å, intensity 43.1, (0 2 0); 2θ 28.91, d = 3.088 Å, intensity 33.9, (0 1 3); 2θ 30.21, d = 2.959 Å, intensity 100.0, (1 1 2); 2θ 33.65, d = 2.663 Å, intensity 53.8, (1 2 1); 2θ 33.98, d = 2.638 Å, intensity 24.3, (1 0 3); 2θ 43.15, d = 2.096 Å, intensity 37.7, (0 2 4); 2θ 43.33, d = 2.088 Å, intensity 31.4, (2 0 0); 2θ 46.51, d = 1.952 Å, intensity 43.7, (1 3 2); 2θ 49.66, d = 1.836 Å, intensity 18.6, (0 4 0); 2θ 56.03, d = 1.641 Å, intensity 16.8, (1 2 5); 2θ 62.81, d = 1.479 Å, intensity 24.1, (2 2 4)

Structural model:
Lattice parameters (Å, degrees): 4.176 7.349 10.210 90.00 90.00 90.00
Space group Imm2 (No. 44)
Asymmetric unit:
Ba 0.000 0.000 0.000 [2 per cell]
Al 0.000 0.185 0.340 [4 per cell]
Al 0.000 0.188 0.654 [4 per cell]
Al 0.000 0.500 0.991 [2 per cell]
Cu 0.000 0.500 0.758 [2 per cell]
Pd 0.000 0.500 0.228 [2 per cell]